(1)
Starting from a cell relaxed with GGA-PBE, the PXRD pattern of Li2TiTe3O12 was simulated for copper Kα.
Peak positions follow from Bragg's law for the DFT cell and can differ from measured ones.

Atomic structure:
Unit cell a=5.017 b=8.445 c=5.217 alpha=90.00 beta=90.76 gamma=90.00
Space group P2 (No. 3)
Inequivalent atoms, fractional coordinates:
Li 0.000 0.000 0.000 x1
Li 0.500 0.120 0.000 x1
Ti 0.000 0.210 0.500 x1
Te 0.000 0.383 0.000 x1
Te 0.500 0.693 0.000 x1
Te 0.500 0.893 0.500 x1
O 0.196 0.370 0.691 x2
O 0.202 0.212 0.172 x2
O 0.248 0.547 0.142 x2
O 0.259 0.045 0.639 x2
O 0.293 0.873 0.172 x2
O 0.296 0.722 0.682 x2

Top 10 peaks for 15 to 90 degrees two-theta, low angle first:
| 2θ/deg | d_spacing | I (rel.) | hkl |
| --- | --- | --- | --- |
| 20.0 | 4.438 | 46 | 0 1 1 |
| 20.6 | 4.313 | 100 | 1 1 0 |
| 32.5 | 2.757 | 31 | 1 2 -1 |
| 32.7 | 2.736 | 31 | 1 2 1 |
| 36.3 | 2.477 | 15 | 0 3 1 |
| 40.2 | 2.243 | 12 | 1 1 -2 |
| 40.6 | 2.220 | 15 | 1 1 2 |
| 50.1 | 1.820 | 12 | 2 0 -2 |
| 51.7 | 1.768 | 13 | 2 3 -1 |
| 52.1 | 1.757 | 14 | 2 3 1 |

(2)
Starting from a cell relaxed with GGA-PBE, the PXRD pattern of Hg3S2Br2 was simulated for copper Kα.
Peak positions follow from Bragg's law for the DFT cell and can differ from measured ones.

Atomic structure:
Unit cell a=18.689 b=9.534 c=10.618 alpha=90.00 beta=116.10 gamma=90.00
Space group C2/m (No. 12)
Inequivalent atoms, fractional coordinates:
Hg 0.073 0.233 0.294 x8
Hg 0.075 0.500 0.728 x4
Hg 0.130 0.237 0.004 x8
Hg 0.216 0.500 0.284 x4
S 0.068 0.245 0.749 x8
S 0.194 0.245 0.259 x8
Br 0.000 0.000 0.000 x2
Br 0.000 0.500 0.000 x2
Br 0.118 0.500 0.486 x4
Br 0.119 0.000 0.496 x4
Br 0.250 0.000 0.997 x4

Top 10 peaks for 15 to 90 degrees two-theta, low angle first:
| 2θ/deg | d_spacing | I (rel.) | hkl |
| --- | --- | --- | --- |
| 17.2 | 5.167 | 17 | 3 1 -1 |
| 21.2 | 4.196 | 18 | 4 0 -2 |
| 25.2 | 3.531 | 24 | 2 2 1 |
| 28.1 | 3.178 | 19 | 0 0 3 |
| 28.3 | 3.150 | 29 | 4 2 0 |
| 32.8 | 2.734 | 100 | 4 2 -3 |
| 37.7 | 2.384 | 47 | 0 4 0 |
| 38.5 | 2.336 | 22 | 8 0 -2 |
| 55.0 | 1.669 | 26 | 8 4 -2 |
| 65.0 | 1.435 | 17 | 4 6 -3 |

(3)
Starting from a cell relaxed with GGA-PBE, the PXRD pattern of SmSbO3 was simulated for copper Kα.
Peak positions follow from Bragg's law for the DFT cell and can differ from measured ones.

Atomic structure:
Unit cell a=4.269 b=4.269 c=4.269 alpha=90.00 beta=90.00 gamma=90.00
Space group Pm-3m (No. 221)
Inequivalent atoms, fractional coordinates:
Sm 0.000 0.000 0.000 x1
Sb 0.500 0.500 0.500 x1
O 0.000 0.500 0.500 x3

Top 9 peaks for 15 to 90 degrees two-theta, low angle first:
| 2θ/deg | d_spacing | I (rel.) | hkl |
| --- | --- | --- | --- |
| 29.6 | 3.019 | 100 | 1 1 0 |
| 36.5 | 2.465 | 4 | 1 1 1 |
| 42.3 | 2.135 | 30 | 2 0 0 |
| 52.5 | 1.743 | 41 | 2 1 1 |
| 61.4 | 1.509 | 19 | 2 2 0 |
| 69.6 | 1.350 | 18 | 3 1 0 |
| 73.6 | 1.287 | 1 | 3 1 1 |
| 77.4 | 1.232 | 6 | 2 2 2 |
| 85.0 | 1.141 | 21 | 3 2 1 |

(4)
Starting from a cell relaxed with GGA-PBE, the PXRD pattern of Ge5Te8As2 was simulated for copper Kα.
Peak positions follow from Bragg's law for the DFT cell and can differ from measured ones.

Atomic structure:
Unit cell a=13.196 b=5.948 c=11.848 alpha=90.00 beta=116.64 gamma=90.00
Space group C2/m (No. 12)
Inequivalent atoms, fractional coordinates:
Ge 0.000 0.000 0.000 x2
Ge 0.003 0.500 0.253 x4
Ge 0.250 0.000 0.874 x4
Te 0.000 0.500 0.000 x2
Te 0.000 0.500 0.500 x2
Te 0.001 0.000 0.250 x4
Te 0.249 0.000 0.125 x4
Te 0.249 0.500 0.375 x4
As 0.250 0.000 0.375 x4

Top 10 peaks for 15 to 90 degrees two-theta, low angle first:
| 2θ/deg | d_spacing | I (rel.) | hkl |
| --- | --- | --- | --- |
| 26.1 | 3.420 | 48 | 1 1 2 |
| 30.0 | 2.974 | 91 | 0 2 0 |
| 30.2 | 2.962 | 90 | 2 0 -4 |
| 30.3 | 2.949 | 89 | 4 0 0 |
| 43.1 | 2.099 | 67 | 2 2 -4 |
| 43.2 | 2.093 | 100 | 4 2 0 |
| 43.3 | 2.089 | 33 | 6 0 -4 |
| 53.6 | 1.710 | 70 | 2 2 4 |
| 71.4 | 1.320 | 29 | 8 2 0 |
| 79.0 | 1.212 | 22 | 2 4 4 |

(5)
Starting from a cell relaxed with GGA-PBE, the PXRD pattern of MoI3 was simulated for copper Kα.
Peak positions follow from Bragg's law for the DFT cell and can differ from measured ones.

Atomic structure:
Unit cell a=10.9188 b=10.9188 c=3.7194 alpha=90.00 beta=90.00 gamma=120.00
Space group P6_3/mmc (No. 194)
Inequivalent atoms, fractional coordinates:
Mo 0.3333 0.6667 0.2500 x2
I 0.2205 0.4410 0.7500 x6

Top 10 peaks for 15 to 90 degrees two-theta, low angle first:
| 2θ/deg | d_spacing | I (rel.) | hkl |
| --- | --- | --- | --- |
| 16.2 | 5.459 | 29 | 1 1 0 |
| 18.8 | 4.728 | 90 | 2 0 0 |
| 24.9 | 3.574 | 69 | 2 1 0 |
| 25.7 | 3.461 | 31 | 1 0 1 |
| 30.6 | 2.923 | 100 | 2 0 1 |
| 34.2 | 2.623 | 38 | 3 1 0 |
| 34.8 | 2.577 | 31 | 2 1 1 |
| 37.4 | 2.405 | 90 | 3 0 1 |
| 42.2 | 2.143 | 69 | 3 1 1 |
| 50.1 | 1.820 | 40 | 3 3 0 |

(6)
Starting from a cell relaxed with GGA-PBE, the PXRD pattern of TaSb3O8 was simulated for copper Kα.
Peak positions follow from Bragg's law for the DFT cell and can differ from measured ones.

Atomic structure:
Unit cell a=4.965 b=5.580 c=12.939 alpha=90.00 beta=112.55 gamma=90.00
Space group Pc (No. 7)
Inequivalent atoms, fractional coordinates:
Ta 0.000 0.117 0.000 x2
Sb 0.298 0.266 0.748 x2
Sb 0.495 0.383 0.497 x2
Sb 0.705 0.229 0.249 x2
O 0.153 0.169 0.441 x2
O 0.237 0.330 0.944 x2
O 0.314 0.071 0.151 x2
O 0.498 0.429 0.654 x2
O 0.501 0.405 0.339 x2
O 0.679 0.093 0.841 x2
O 0.768 0.112 0.550 x2
O 0.830 0.388 0.046 x2

Top 10 peaks for 15 to 90 degrees two-theta, low angle first:
| 2θ/deg | d_spacing | I (rel.) | hkl |
| --- | --- | --- | --- |
| 25.1 | 3.543 | 44 | 1 1 0 |
| 28.3 | 3.152 | 100 | 1 1 -3 |
| 29.9 | 2.988 | 32 | 0 0 4 |
| 33.0 | 2.716 | 28 | 0 2 1 |
| 36.2 | 2.483 | 12 | 2 0 -2 |
| 47.6 | 1.909 | 17 | 2 0 -6 |
| 49.7 | 1.833 | 13 | 2 2 -1 |
| 52.1 | 1.755 | 20 | 1 1 5 |
| 52.5 | 1.742 | 12 | 1 3 -1 |
| 61.6 | 1.505 | 12 | 1 3 -5 |